This entry pairs a crystal structure of Li2VCrP2O8F2 with its computed XRD peak list. Radiation: copper Kα. Structure: a DFT-relaxed cell (PBE+U, Alexandria).
Kinematic intensities with the Lorentz-polarization factor, no thermal factor.

Crystal structure
a b c (Å): 5.2174 7.3550 14.9605
angles (deg): 93.86 92.32 108.58
Atoms (fractional coordinates):
Li 0.0678 0.4847 0.2948
Li 0.2659 0.8518 0.0397
Li 0.3988 0.8110 0.6281
Li 0.6012 0.1890 0.3719
Li 0.7341 0.1482 0.9603
Li 0.9322 0.5153 0.7052
V 0.0000 0.0000 0.5000
V 0.3321 0.8325 0.8337
V 0.6679 0.1675 0.1663
Cr 0.0000 0.5000 0.5000
Cr 0.3335 0.3335 0.8332
Cr 0.6665 0.6666 0.1668
P 0.1074 0.0488 0.2857
P 0.2273 0.2856 0.0466
P 0.4409 0.3828 0.6190
P 0.5591 0.6172 0.3810
P 0.7727 0.7144 0.9534
P 0.8926 0.9512 0.7143
O 0.0113 0.1520 0.7628
O 0.0446 0.8314 0.9157
O 0.0937 0.8320 0.7216
O 0.1394 0.2889 0.9465
O 0.1925 0.0416 0.3859
O 0.2322 0.4966 0.6116
O 0.2895 0.4990 0.4188
O 0.3239 0.1803 0.5705
O 0.3460 0.4865 0.0954
O 0.3801 0.1660 0.2489
O 0.4288 0.1665 0.0547
O 0.4738 0.6216 0.2807
O 0.5262 0.3784 0.7193
O 0.5712 0.8335 0.9453
O 0.6199 0.8340 0.7511
O 0.6540 0.5135 0.9046
O 0.6761 0.8197 0.4295
O 0.7105 0.5010 0.5812
O 0.7678 0.5034 0.3884
O 0.8075 0.9584 0.6141
O 0.8606 0.7111 0.0535
O 0.9063 0.1680 0.2784
O 0.9554 0.1686 0.0843
O 0.9887 0.8480 0.2372
F 0.1539 0.7824 0.5233
F 0.1786 0.5404 0.8101
F 0.4866 0.1252 0.8561
F 0.5134 0.8748 0.1439
F 0.8214 0.4596 0.1899
F 0.8461 0.2176 0.4767

Largest 6 diffraction maxima, in order of rising 2θ, 2θ = 15–90°:
2theta  intensity  (hkl)
18.4  42  1 -1 0
18.6  61  1 0 -1
26.6  72  1 -2 1
26.8  93  0 2 1
29.1  100  1 0 -4
36.2  35  1 0 5